TlSbS2: calculated powder diffractogram (λ = 1.5418 Å (Cu Kα)), based on a cell relaxed with GGA-PBE.
Intensities are scaled so that the largest is 100.

Largest 8 diffraction maxima, low angle first, 10° ≤ 2θ ≤ 90°:
26.1°, rel. 100, hkl 1 1 2
29.8°, rel. 40, hkl 0 0 4
30.4°, rel. 79, hkl 2 0 0
43.1°, rel. 57, hkl 2 0 4
43.6°, rel. 29, hkl 2 2 0
50.7°, rel. 20, hkl 1 1 6
51.5°, rel. 34, hkl 3 1 2
53.7°, rel. 30, hkl 2 2 4

Crystal structure
```
data_TlSbS2
_chemical_formula_sum 'Tl4 Sb4 S8'
_space_group_name_H-M_alt 'I 41/a m d'
_space_group_IT_number 141
_cell_length_a 5.872
_cell_length_b 5.872
_cell_length_c 11.992
_cell_angle_alpha 90.00
_cell_angle_beta 90.00
_cell_angle_gamma 90.00
loop_
_space_group_symop_operation_xyz
'x,y,z'
'-x,-y,-z'
'-y+1/4,x+3/4,z+1/4'
'y+1/4,-x+3/4,-z+1/4'
'-x+1/2,-y,z+1/2'
'x+1/2,y,-z+1/2'
'y+1/4,-x+1/4,z+3/4'
'-y+1/4,x+1/4,-z+3/4'
'x,-y,-z'
'-x,y,z'
'-y+1/4,-x+1/4,-z+3/4'
'y+1/4,x+1/4,z+3/4'
'-x+1/2,y,-z+1/2'
'x+1/2,-y,z+1/2'
'y+1/4,x+3/4,-z+1/4'
'-y+1/4,-x+3/4,z+1/4'
'x+1/2,y+1/2,z+1/2'
'-x+1/2,-y+1/2,-z+1/2'
'-y+3/4,x+1/4,z+3/4'
'y+3/4,-x+1/4,-z+3/4'
'-x,-y+1/2,z'
'x,y+1/2,-z'
'y+3/4,-x+3/4,z+1/4'
'-y+3/4,x+3/4,-z+1/4'
'x+1/2,-y+1/2,-z+1/2'
'-x+1/2,y+1/2,z+1/2'
'-y+3/4,-x+3/4,-z+1/4'
'y+3/4,x+3/4,z+1/4'
'-x,y+1/2,-z'
'x,-y+1/2,z'
'y+3/4,x+1/4,-z+3/4'
'-y+3/4,-x+1/4,z+3/4'
loop_
_atom_site_label
_atom_site_type_symbol
_atom_site_fract_x
_atom_site_fract_y
_atom_site_fract_z
Tl1 Tl 0.000 0.250 0.375
Sb1 Sb 0.000 0.250 0.875
S1 S 0.000 0.250 0.102
```

TlSbS2: calculated powder diffractogram (λ = 1.5418 Å (Cu Kα)), based on a cell relaxed with GGA-PBE.
Intensities are scaled so that the largest is 100.

Largest 8 diffraction maxima, low angle first, 10° ≤ 2θ ≤ 90°:
22.9°, rel. 89, hkl 1 1 0
24.4°, rel. 67, hkl -1 1 1
25.3°, rel. 61, hkl 1 -1 1
26.3°, rel. 57, hkl 1 1 2
27.6°, rel. 100, hkl 0 2 1
28.3°, rel. 99, hkl 2 0 1
30.1°, rel. 94, hkl 0 0 2
39.7°, rel. 72, hkl 2 2 2

Crystal structure
```
data_TlSbS2
_chemical_formula_sum 'Tl2 Sb2 S4'
_space_group_name_H-M_alt 'P -1'
_space_group_IT_number 2
_cell_length_a 6.351
_cell_length_b 6.477
_cell_length_c 7.030
_cell_angle_alpha 66.00
_cell_angle_beta 69.25
_cell_angle_gamma 88.81
loop_
_space_group_symop_operation_xyz
'x,y,z'
'-x,-y,-z'
loop_
_atom_site_label
_atom_site_type_symbol
_atom_site_fract_x
_atom_site_fract_y
_atom_site_fract_z
Tl1 Tl 0.129 0.386 0.256
Sb1 Sb 0.409 0.086 0.751
S1 S 0.218 0.908 0.210
S2 S 0.371 0.721 0.730
```

TlSbS2: calculated powder diffractogram (λ = 1.5418 Å (Cu Kα)), based on a cell relaxed with GGA-PBE.
Intensities are scaled so that the largest is 100.

Largest 8 diffraction maxima, low angle first, 10° ≤ 2θ ≤ 90°:
26.5°, rel. 81, hkl 1 0 1
30.7°, rel. 100, hkl 1 1 0
43.9°, rel. 73, hkl 2 0 0
52.0°, rel. 41, hkl 2 1 1
54.5°, rel. 26, hkl 2 0 2
70.4°, rel. 17, hkl 3 0 1
72.5°, rel. 33, hkl 3 1 0
80.8°, rel. 25, hkl 3 1 2

Crystal structure
```
data_TlSbS2
_chemical_formula_sum 'Tl1 Sb1 S2'
_space_group_name_H-M_alt 'P 4/m m m'
_space_group_IT_number 123
_space_group_name_Hall '-P 4 2'
_cell_length_a 4.123
_cell_length_b 4.123
_cell_length_c 5.827
_cell_angle_alpha 90.00
_cell_angle_beta 90.00
_cell_angle_gamma 90.00
loop_
_atom_site_label
_atom_site_type_symbol
_atom_site_fract_x
_atom_site_fract_y
_atom_site_fract_z
Tl1 Tl 0.000 0.000 0.000
Sb1 Sb 0.500 0.500 0.500
S1 S 0.000 0.000 0.500
S2 S 0.500 0.500 0.000
```

TlSbS2: calculated powder diffractogram (λ = 1.5418 Å (Cu Kα)), based on a cell relaxed with GGA-PBE.
Intensities are scaled so that the largest is 100.

Largest 8 diffraction maxima, low angle first, 10° ≤ 2θ ≤ 90°:
23.3°, rel. 66, hkl 1 0 2
23.7°, rel. 90, hkl -1 1 2
24.4°, rel. 84, hkl 1 1 -2
28.8°, rel. 100, hkl 0 2 0
29.1°, rel. 69, hkl 2 -1 0
30.9°, rel. 64, hkl 0 1 -4
31.0°, rel. 46, hkl 0 0 4
39.1°, rel. 49, hkl 2 0 -4

Crystal structure
```
data_TlSbS2
_chemical_formula_sum 'Tl4 Sb4 S8'
_space_group_name_H-M_alt 'P -1'
_space_group_IT_number 2
_cell_length_a 6.321
_cell_length_b 6.605
_cell_length_c 11.965
_cell_angle_alpha 101.43
_cell_angle_beta 97.09
_cell_angle_gamma 104.75
loop_
_space_group_symop_operation_xyz
'x,y,z'
'-x,-y,-z'
loop_
_atom_site_label
_atom_site_type_symbol
_atom_site_fract_x
_atom_site_fract_y
_atom_site_fract_z
Tl1 Tl 0.066 0.299 0.164
Tl2 Tl 0.404 0.726 0.586
Sb1 Sb 0.102 0.206 0.656
Sb2 Sb 0.473 0.793 0.094
S1 S 0.083 0.181 0.407
S2 S 0.132 0.208 0.880
S3 S 0.481 0.817 0.864
S4 S 0.499 0.213 0.675
```

TlSb3S5: calculated powder diffractogram (λ = 1.5418 Å (Cu Kα)), based on a cell relaxed with GGA-PBE.
Intensities are scaled so that the largest is 100.

Largest 8 diffraction maxima, low angle first, 10° ≤ 2θ ≤ 90°:
22.7°, rel. 28, hkl 1 2 -2
24.0°, rel. 27, hkl 0 2 2
25.9°, rel. 100, hkl 1 4 0
26.2°, rel. 30, hkl 2 0 0
28.4°, rel. 44, hkl 2 2 -2
29.8°, rel. 29, hkl 1 1 2
31.4°, rel. 26, hkl 1 2 2
46.0°, rel. 23, hkl 3 4 0

Crystal structure
```
data_TlSb3S5
_chemical_formula_sum 'Tl4 Sb12 S20'
_space_group_name_H-M_alt 'P 1 21/c 1'
_space_group_IT_number 14
_cell_length_a 7.480
_cell_length_b 15.954
_cell_length_c 9.197
_cell_angle_alpha 90.00
_cell_angle_beta 114.36
_cell_angle_gamma 90.00
loop_
_space_group_symop_operation_xyz
'x,y,z'
'-x,-y,-z'
'-x,y+1/2,-z+1/2'
'x,-y+1/2,z+1/2'
loop_
_atom_site_label
_atom_site_type_symbol
_atom_site_fract_x
_atom_site_fract_y
_atom_site_fract_z
Tl1 Tl 0.027 0.236 0.038
Sb1 Sb 0.007 0.503 0.213
Sb2 Sb 0.467 0.596 0.112
Sb3 Sb 0.497 0.131 0.937
S1 S 0.211 0.627 0.841
S2 S 0.225 0.059 0.603
S3 S 0.250 0.056 0.000
S4 S 0.290 0.659 0.263
S5 S 0.328 0.228 0.389
```

USbS: calculated powder diffractogram (λ = 1.5418 Å (Cu Kα)), based on a cell relaxed with GGA-PBE.
Intensities are scaled so that the largest is 100.

Largest 8 diffraction maxima, low angle first, 10° ≤ 2θ ≤ 90°:
24.3°, rel. 100, hkl 1 0 1
30.6°, rel. 23, hkl 1 0 2
32.0°, rel. 45, hkl 0 0 3
32.8°, rel. 69, hkl 1 1 1
37.8°, rel. 81, hkl 1 1 2
44.4°, rel. 43, hkl 2 0 0
51.2°, rel. 29, hkl 2 1 1
55.8°, rel. 37, hkl 2 0 3

Crystal structure
```
data_USbS
_chemical_formula_sum 'U2 Sb2 S2'
_space_group_name_H-M_alt 'P 4/n m m'
_space_group_IT_number 129
_cell_length_a 4.080
_cell_length_b 4.080
_cell_length_c 8.390
_cell_angle_alpha 90.00
_cell_angle_beta 90.00
_cell_angle_gamma 90.00
loop_
_space_group_symop_operation_xyz
'x,y,z'
'-x,-y,-z'
'-y+1/2,x,z'
'y+1/2,-x,-z'
'-x+1/2,-y+1/2,z'
'x+1/2,y+1/2,-z'
'y,-x+1/2,z'
'-y,x+1/2,-z'
'x+1/2,-y,-z'
'-x+1/2,y,z'
'-y,-x,-z'
'y,x,z'
'-x,y+1/2,-z'
'x,-y+1/2,z'
'y+1/2,x+1/2,-z'
'-y+1/2,-x+1/2,z'
loop_
_atom_site_label
_atom_site_type_symbol
_atom_site_fract_x
_atom_site_fract_y
_atom_site_fract_z
U1 U 0.250 0.250 0.192
Sb1 Sb 0.250 0.750 0.500
S1 S 0.250 0.250 0.867
```